This entry pairs a crystal structure of Cr3B7IO13 with its calculated powder diffraction line list. Radiation: Cu Ka. Structure: a crystal structure in Alexandria, relaxed with GGA+U.

Atomic structure:
Lattice parameters (Å, degrees): 8.7266 8.7266 8.7266 60.00 60.00 60.00
Sites, in units of the cell vectors:
Cr (0.2500, 0.2500, 0.7500)
Cr (0.2500, 0.7500, 0.2500)
Cr (0.2500, 0.7500, 0.7500)
Cr (0.7500, 0.2500, 0.2500)
Cr (0.7500, 0.2500, 0.7500)
Cr (0.7500, 0.7500, 0.2500)
B (0.0000, 0.0000, 0.5000)
B (0.0000, 0.5000, 0.0000)
B (0.0000, 0.5000, 0.5000)
B (0.1702, 0.1702, 0.1702)
B (0.1702, 0.1702, 0.4895)
B (0.1702, 0.4895, 0.1702)
B (0.4895, 0.1702, 0.1702)
B (0.5000, 0.0000, 0.0000)
B (0.5000, 0.0000, 0.5000)
B (0.5000, 0.5000, 0.0000)
B (0.6702, 0.6702, 0.6702)
B (0.6702, 0.6702, 0.9895)
B (0.6702, 0.9895, 0.6702)
B (0.9895, 0.6702, 0.6702)
I (0.0000, 0.0000, 0.0000)
I (0.5000, 0.5000, 0.5000)
O (0.0453, 0.4957, 0.8143)
O (0.0453, 0.6447, 0.4957)
O (0.0453, 0.8143, 0.6447)
O (0.1447, 0.3143, 0.5453)
O (0.1447, 0.5453, 0.9957)
O (0.1447, 0.9957, 0.3143)
O (0.2500, 0.2500, 0.2500)
O (0.3143, 0.1447, 0.9957)
O (0.3143, 0.5453, 0.1447)
O (0.3143, 0.9957, 0.5453)
O (0.4957, 0.0453, 0.6447)
O (0.4957, 0.6447, 0.8143)
O (0.4957, 0.8143, 0.0453)
O (0.5453, 0.1447, 0.3143)
O (0.5453, 0.3143, 0.9957)
O (0.5453, 0.9957, 0.1447)
O (0.6447, 0.0453, 0.8143)
O (0.6447, 0.4957, 0.0453)
O (0.6447, 0.8143, 0.4957)
O (0.7500, 0.7500, 0.7500)
O (0.8143, 0.0453, 0.4957)
O (0.8143, 0.4957, 0.6447)
O (0.8143, 0.6447, 0.0453)
O (0.9957, 0.1447, 0.5453)
O (0.9957, 0.3143, 0.1447)
O (0.9957, 0.5453, 0.3143)

Top 8 peaks for 15° ≤ 2θ ≤ 90°, by angle:
2θ 28.9, I = 96
2θ 32.4, I = 100
2θ 41.4, I = 60
2θ 44.0, I = 24
2θ 51.3, I = 29
2θ 62.0, I = 31
2θ 67.9, I = 29
2θ 75.5, I = 27